(1)
Computed X-ray diffraction stick pattern
Compound: Li9Fe5Si2O16
Radiation: Cu Ka
Structure: a PBE+U-relaxed structure

Structure:
```
data_Li9Fe5Si2O16
_cell_length_a 5.0743
_cell_length_b 11.6033
_cell_length_c 5.1220
_cell_angle_alpha 90.00
_cell_angle_beta 109.40
_cell_angle_gamma 90.00
_space_group_name_H-M_alt 'P 1 2/m 1'
_space_group_IT_number 10
loop_
_space_group_symop_operation_xyz
'x,y,z'
'-x,-y,-z'
'-x,y,-z'
'x,-y,z'
loop_
_atom_site_label
_atom_site_type_symbol
_atom_site_fract_x
_atom_site_fract_y
_atom_site_fract_z
Li1 Li 0.0000 0.0000 0.0000
Li2 Li 0.0000 0.1150 0.5000
Li3 Li 0.0000 0.3752 0.5000
Li4 Li 0.5000 0.0000 0.5000
Li5 Li 0.5000 0.2410 0.5000
Li6 Li 0.5000 0.5000 0.5000
Fe1 Fe 0.0000 0.2385 0.0000
Fe2 Fe 0.0000 0.5000 0.0000
Fe3 Fe 0.5000 0.3704 0.0000
Si1 Si 0.5000 0.1168 0.0000
O1 O 0.2417 0.3722 0.2312
O2 O 0.2581 0.5000 0.7664
O3 O 0.2709 0.2327 0.7785
O4 O 0.2791 0.1247 0.2108
O5 O 0.2932 0.0000 0.7886
```

Largest 10 diffraction maxima, by angle, 5° ≤ 2θ ≤ 70°:
11.603 Å, I = 24; 4.831 Å, I = 100; 2.500 Å, I = 11; 2.481 Å, I = 23; 2.080 Å, I = 29; 2.067 Å, I = 56; 1.599 Å, I = 9; 1.473 Å, I = 9; 1.471 Å, I = 15; 1.461 Å, I = 15

---

(2)
Computed X-ray diffraction stick pattern
Compound: Li6FeSi2O8
Radiation: Cu Ka
Structure: a PBE+U-relaxed structure

Structure:
```
data_Li6FeSi2O8
_cell_length_a 5.1462
_cell_length_b 5.5343
_cell_length_c 6.2355
_cell_angle_alpha 88.47
_cell_angle_beta 79.05
_cell_angle_gamma 85.29
_space_group_name_H-M_alt 'P -1'
_space_group_IT_number 2
loop_
_space_group_symop_operation_xyz
'x,y,z'
'-x,-y,-z'
loop_
_atom_site_label
_atom_site_type_symbol
_atom_site_fract_x
_atom_site_fract_y
_atom_site_fract_z
Li1 Li 0.1154 0.2514 0.0344
Li2 Li 0.2806 0.3625 0.6113
Li3 Li 0.3409 0.5860 0.1909
Fe1 Fe 0.0000 0.0000 0.5000
Si1 Si 0.3755 0.7969 0.7218
O1 O 0.1989 0.0559 0.7764
O2 O 0.2651 0.5814 0.8974
O3 O 0.2987 0.2165 0.2945
O4 O 0.3117 0.7116 0.4830
```

Largest 10 diffraction maxima, by angle, 5° ≤ 2θ ≤ 70°:
6.122 Å, I = 63; 5.515 Å, I = 34; 4.121 Å, I = 100; 3.874 Å, I = 40; 3.574 Å, I = 26; 3.068 Å, I = 40; 2.866 Å, I = 28; 2.343 Å, I = 24; 2.238 Å, I = 35; 1.931 Å, I = 27

---

(3)
Computed X-ray diffraction stick pattern
Compound: LiFeSiO4
Radiation: Cu Ka
Structure: a PBE+U-relaxed structure

Structure:
```
data_LiFeSiO4
_cell_length_a 5.0978
_cell_length_b 10.3451
_cell_length_c 8.4331
_cell_angle_alpha 90.00
_cell_angle_beta 126.68
_cell_angle_gamma 90.00
_space_group_name_H-M_alt 'P 1 21/c 1'
_space_group_IT_number 14
loop_
_space_group_symop_operation_xyz
'x,y,z'
'-x,-y,-z'
'-x,y+1/2,-z+1/2'
'x,-y+1/2,z+1/2'
loop_
_atom_site_label
_atom_site_type_symbol
_atom_site_fract_x
_atom_site_fract_y
_atom_site_fract_z
Li1 Li 0.1937 0.1496 0.0080
Fe1 Fe 0.3075 0.6664 0.9908
Si1 Si 0.0502 0.5920 0.2350
O1 O 0.0187 0.5626 0.7617
O2 O 0.1406 0.6614 0.4380
O3 O 0.2741 0.1657 0.4557
O4 O 0.3596 0.6159 0.2247
```

Largest 10 diffraction maxima, by angle, 5° ≤ 2θ ≤ 70°:
5.661 Å, I = 88; 4.109 Å, I = 63; 4.053 Å, I = 86; 3.802 Å, I = 100; 3.774 Å, I = 31; 3.072 Å, I = 59; 2.830 Å, I = 69; 2.586 Å, I = 45; 2.549 Å, I = 62; 1.536 Å, I = 35

---

(4)
Computed X-ray diffraction stick pattern
Compound: LiFeSi3O8
Radiation: Cu Ka
Structure: a PBE+U-relaxed structure

Structure:
```
data_LiFeSi3O8
_cell_length_a 8.4568
_cell_length_b 13.8786
_cell_length_c 7.2090
_cell_angle_alpha 90.00
_cell_angle_beta 114.88
_cell_angle_gamma 90.00
_space_group_name_H-M_alt 'C 1 2 1'
_space_group_IT_number 5
loop_
_space_group_symop_operation_xyz
'x,y,z'
'-x,y,-z'
'x+1/2,y+1/2,z'
'-x+1/2,y+1/2,-z'
loop_
_atom_site_label
_atom_site_type_symbol
_atom_site_fract_x
_atom_site_fract_y
_atom_site_fract_z
Li1 Li 0.2280 0.0000 0.3741
Fe1 Fe 0.1909 0.9879 0.8493
Si1 Si 0.0074 0.1887 0.2857
Si2 Si 0.0140 0.5658 0.7327
Si3 Si 0.2064 0.7533 0.8570
O1 O 0.0000 0.2212 0.5000
O2 O 0.0000 0.5523 0.5000
O3 O 0.0076 0.0707 0.2649
O4 O 0.0416 0.6785 0.7995
O5 O 0.1246 0.8602 0.8088
O6 O 0.1590 0.2375 0.9022
O7 O 0.1696 0.5217 0.2876
O8 O 0.1893 0.5039 0.8650
O9 O 0.1897 0.2288 0.2863
```

Largest 10 diffraction maxima, by angle, 5° ≤ 2θ ≤ 70°:
6.939 Å, I = 98; 6.540 Å, I = 41; 5.893 Å, I = 41; 4.159 Å, I = 100; 4.005 Å, I = 83; 3.962 Å, I = 43; 3.470 Å, I = 68; 3.357 Å, I = 41; 3.270 Å, I = 55; 3.255 Å, I = 57

---

(5)
Computed X-ray diffraction stick pattern
Compound: LiFeSi3O8
Radiation: Cu Ka
Structure: a PBE+U-relaxed structure

Structure:
```
data_LiFeSi3O8
_cell_length_a 7.8522
_cell_length_b 13.4759
_cell_length_c 12.9698
_cell_angle_alpha 90.00
_cell_angle_beta 95.05
_cell_angle_gamma 90.00
_space_group_name_H-M_alt 'C 1 2/c 1'
_space_group_IT_number 15
loop_
_space_group_symop_operation_xyz
'x,y,z'
'-x,-y,-z'
'-x,y,-z+1/2'
'x,-y,z+1/2'
'x+1/2,y+1/2,z'
'-x+1/2,-y+1/2,-z'
'-x+1/2,y+1/2,-z+1/2'
'x+1/2,-y+1/2,z+1/2'
loop_
_atom_site_label
_atom_site_type_symbol
_atom_site_fract_x
_atom_site_fract_y
_atom_site_fract_z
Li1 Li 0.0971 0.2206 0.1200
Fe1 Fe 0.2433 0.3468 0.3337
Si1 Si 0.1438 0.4271 0.8879
Si2 Si 0.1621 0.1004 0.8930
Si3 Si 0.2453 0.3817 0.6653
O1 O 0.0302 0.1421 0.6176
O2 O 0.0453 0.3763 0.6203
O3 O 0.1299 0.4543 0.3880
O4 O 0.1514 0.2176 0.3647
O5 O 0.1609 0.0202 0.3753
O6 O 0.2168 0.3428 0.1847
O7 O 0.2430 0.1246 0.0132
O8 O 0.2467 0.1153 0.2066
```

Largest 10 diffraction maxima, by angle, 5° ≤ 2θ ≤ 70°:
6.460 Å, I = 18; 3.911 Å, I = 76; 3.768 Å, I = 75; 3.369 Å, I = 54; 3.227 Å, I = 100; 3.095 Å, I = 14; 2.954 Å, I = 12; 2.552 Å, I = 22; 2.221 Å, I = 12; 1.820 Å, I = 13

---

(6)
Computed X-ray diffraction stick pattern
Compound: LiFeSi2O6
Radiation: Cu Ka
Structure: a PBE+U-relaxed structure

Structure:
```
data_LiFeSi2O6
_cell_length_a 5.1599
_cell_length_b 7.8667
_cell_length_c 8.9574
_cell_angle_alpha 66.24
_cell_angle_beta 89.88
_cell_angle_gamma 89.78
_space_group_name_H-M_alt 'P 1'
_space_group_IT_number 1
loop_
_space_group_symop_operation_xyz
'x,y,z'
loop_
_atom_site_label
_atom_site_type_symbol
_atom_site_fract_x
_atom_site_fract_y
_atom_site_fract_z
Li1 Li 0.0000 0.0000 0.0000
Li2 Li 0.4959 0.8615 0.5558
Fe1 Fe 0.0058 0.7986 0.3932
Fe2 Fe 0.4876 0.8227 0.9150
Si1 Si 0.0255 0.3695 0.4049
Si2 Si 0.5048 0.9956 0.1820
Si3 Si 0.5204 0.3853 0.1938
Si4 Si 0.9868 0.9634 0.6737
O1 O 0.0440 0.5483 0.4504
O2 O 0.1306 0.8663 0.5634
O3 O 0.1579 0.9347 0.8363
O4 O 0.1961 0.9398 0.1982
O5 O 0.3047 0.3251 0.3404
O6 O 0.4428 0.5755 0.0432
O7 O 0.5383 0.2188 0.1280
O8 O 0.6393 0.9478 0.0371
O9 O 0.6526 0.8810 0.3573
O10 O 0.6982 0.8711 0.7274
O11 O 0.8048 0.4039 0.2651
O12 O 0.9471 0.1864 0.5678
```

Largest 10 diffraction maxima, by angle, 5° ≤ 2θ ≤ 70°:
8.198 Å, I = 46; 7.200 Å, I = 72; 6.981 Å, I = 24; 4.573 Å, I = 14; 4.406 Å, I = 15; 4.367 Å, I = 100; 3.600 Å, I = 37; 3.491 Å, I = 30; 3.422 Å, I = 20; 2.582 Å, I = 29

---

Number 4 is which compound?
LiFeSi3O8